Record 1
Starting from a crystal structure in Alexandria, relaxed with GGA+U, the powder XRD pattern of Li4VF7 was simulated for Cu Kα X-rays.
Peak positions follow from Bragg's law for the DFT cell and can differ from measured ones.

Atomic structure:
```
data_Li4VF7
_chemical_formula_sum 'Li16 V4 F28'
_cell_length_a 8.4540
_cell_length_b 8.4540
_cell_length_c 8.4540
_cell_angle_alpha 90.00
_cell_angle_beta 90.00
_cell_angle_gamma 90.00
_space_group_name_H-M_alt 'F -4 3 m'
_space_group_IT_number 216
_space_group_name_Hall 'F -4 2 3'
loop_
_atom_site_label
_atom_site_type_symbol
_atom_site_fract_x
_atom_site_fract_y
_atom_site_fract_z
_atom_site_occupancy
Li1 Li 0.1239 0.1239 0.1239 1
V1 V 0.2500 0.2500 0.7500 1
F1 F 0.0000 0.0000 0.0000 1
F2 F 0.0135 0.2500 0.7500 1
```

Principal peaks in the range 2θ from 10° to 80°, sorted by position:
18.2 deg, rel. 100.0, (1 1 1)
21.0 deg, rel. 73.1, (2 0 0)
35.2 deg, rel. 45.1, (3 1 1)
36.8 deg, rel. 33.2, (2 2 2)
42.8 deg, rel. 52.8, (4 0 0)
62.1 deg, rel. 43.2, (4 4 0)

=====

Record 2
Starting from a crystal structure in Alexandria, relaxed with GGA+U, the powder XRD pattern of LiVF6 was simulated for Cu Kα X-rays.
Peak positions follow from Bragg's law for the DFT cell and can differ from measured ones.

Atomic structure:
```
data_LiVF6
_chemical_formula_sum 'Li4 V4 F24'
_cell_length_a 9.8827
_cell_length_b 8.8514
_cell_length_c 4.9998
_cell_angle_alpha 90.00
_cell_angle_beta 90.00
_cell_angle_gamma 90.00
_space_group_name_H-M_alt 'P n a 21'
_space_group_IT_number 33
loop_
_space_group_symop_operation_xyz
'x,y,z'
'-x,-y,z+1/2'
'-x+1/2,y+1/2,z+1/2'
'x+1/2,-y+1/2,z'
loop_
_atom_site_label
_atom_site_type_symbol
_atom_site_fract_x
_atom_site_fract_y
_atom_site_fract_z
_atom_site_occupancy
Li1 Li 0.1343 0.1270 0.0000 1
V1 V 0.1172 0.7517 0.9883 1
F1 F 0.0087 0.2356 0.7539 1
F2 F 0.0150 0.8804 0.7801 1
F3 F 0.0342 0.5945 0.8462 1
F4 F 0.1964 0.9239 0.1206 1
F5 F 0.2244 0.6365 0.1989 1
F6 F 0.2461 0.7484 0.7272 1
```

Principal peaks in the range 2θ from 10° to 80°, sorted by position:
20.1 deg, rel. 67.9, (0 2 0)
20.4 deg, rel. 100.0, (0 1 1)
20.6 deg, rel. 95.3, (2 1 0)
25.3 deg, rel. 72.4, (2 0 1)
32.5 deg, rel. 27.5, (2 2 1)
39.9 deg, rel. 58.7, (2 3 1)

=====

Record 3
Starting from a crystal structure in Alexandria, relaxed with GGA+U, the powder XRD pattern of Li3VF8 was simulated for Cu Kα X-rays.
Peak positions follow from Bragg's law for the DFT cell and can differ from measured ones.

Atomic structure:
```
data_Li3VF8
_chemical_formula_sum 'Li6 V2 F16'
_cell_length_a 5.7918
_cell_length_b 8.9875
_cell_length_c 6.2834
_cell_angle_alpha 90.00
_cell_angle_beta 90.00
_cell_angle_gamma 90.00
_space_group_name_H-M_alt 'C 2 2 2'
_space_group_IT_number 21
loop_
_space_group_symop_operation_xyz
'x,y,z'
'-x,-y,z'
'x,-y,-z'
'-x,y,-z'
'x+1/2,y+1/2,z'
'-x+1/2,-y+1/2,z'
'x+1/2,-y+1/2,-z'
'-x+1/2,y+1/2,-z'
loop_
_atom_site_label
_atom_site_type_symbol
_atom_site_fract_x
_atom_site_fract_y
_atom_site_fract_z
_atom_site_occupancy
Li1 Li 0.0000 0.0000 0.0000 1
Li2 Li 0.2500 0.2500 0.8391 1
V1 V 0.0000 0.0000 0.5000 1
F1 F 0.0000 0.2013 0.5000 1
F2 F 0.0000 0.2025 0.0000 1
F3 F 0.2200 0.0146 0.7075 1
```

Principal peaks in the range 2θ from 10° to 80°, sorted by position:
14.1 deg, rel. 36.3, (0 0 1)
18.2 deg, rel. 100.0, (1 1 0)
23.1 deg, rel. 32.9, (1 1 1)
24.4 deg, rel. 27.7, (0 2 1)
34.0 deg, rel. 19.1, (1 1 2)
42.5 deg, rel. 43.7, (2 0 2)

=====

Record 4
Starting from a crystal structure in Alexandria, relaxed with GGA+U, the powder XRD pattern of Li4VF7 was simulated for Cu Kα X-rays.
Peak positions follow from Bragg's law for the DFT cell and can differ from measured ones.

Atomic structure:
```
data_Li4VF7
_chemical_formula_sum 'Li16 V4 F28'
_cell_length_a 12.6187
_cell_length_b 8.7117
_cell_length_c 5.5088
_cell_angle_alpha 90.00
_cell_angle_beta 102.71
_cell_angle_gamma 90.00
_space_group_name_H-M_alt 'C 1 2/c 1'
_space_group_IT_number 15
loop_
_space_group_symop_operation_xyz
'x,y,z'
'-x,-y,-z'
'-x,y,-z+1/2'
'x,-y,z+1/2'
'x+1/2,y+1/2,z'
'-x+1/2,-y+1/2,-z'
'-x+1/2,y+1/2,-z+1/2'
'x+1/2,-y+1/2,z+1/2'
loop_
_atom_site_label
_atom_site_type_symbol
_atom_site_fract_x
_atom_site_fract_y
_atom_site_fract_z
_atom_site_occupancy
Li1 Li 0.1309 0.0596 0.2280 1
Li2 Li 0.1592 0.3975 0.3444 1
V1 V 0.0000 0.2740 0.7500 1
F1 F 0.0000 0.0553 0.7500 1
F2 F 0.0924 0.2595 0.0940 1
F3 F 0.1012 0.4092 0.6497 1
F4 F 0.1932 0.0881 0.5615 1
```

Principal peaks in the range 2θ from 10° to 80°, sorted by position:
14.4 deg, rel. 100.0, (2 0 0)
22.0 deg, rel. 66.1, (1 1 1)
25.0 deg, rel. 45.9, (2 2 0)
26.3 deg, rel. 87.6, (3 1 -1)
36.7 deg, rel. 45.5, (1 3 1)
39.4 deg, rel. 54.0, (2 0 2)

=====

Record 5
Starting from a crystal structure in Alexandria, relaxed with GGA+U, the powder XRD pattern of Li3VF5 was simulated for Cu Kα X-rays.
Peak positions follow from Bragg's law for the DFT cell and can differ from measured ones.

Atomic structure:
```
data_Li3VF5
_chemical_formula_sum 'Li9 V3 F15'
_cell_length_a 4.9376
_cell_length_b 4.9376
_cell_length_c 13.7163
_cell_angle_alpha 90.00
_cell_angle_beta 90.00
_cell_angle_gamma 120.00
_space_group_name_H-M_alt 'P 31 2 1'
_space_group_IT_number 152
loop_
_space_group_symop_operation_xyz
'x,y,z'
'-y,x-y,z+1/3'
'-x+y,-x,z+2/3'
'y,x,-z'
'x-y,-y,-z+2/3'
'-x,-x+y,-z+1/3'
loop_
_atom_site_label
_atom_site_type_symbol
_atom_site_fract_x
_atom_site_fract_y
_atom_site_fract_z
_atom_site_occupancy
Li1 Li 0.9999 0.6418 0.4156 1
Li2 Li 0.0000 0.6924 0.1667 1
V1 V 0.0000 0.7063 0.6667 1
F1 F 0.0000 0.2547 0.6667 1
F2 F 0.0048 0.4275 0.0644 1
F3 F 0.1140 0.3448 0.8665 1
```

Principal peaks in the range 2θ from 10° to 80°, sorted by position:
19.4 deg, rel. 56.6, (0 0 3)
21.8 deg, rel. 94.8, (0 1 1)
24.5 deg, rel. 75.4, (1 0 2)
36.4 deg, rel. 67.5, (1 1 0)
37.0 deg, rel. 79.3, (1 1 1)
39.0 deg, rel. 100.0, (0 1 5)

=====

Record 6
Starting from a crystal structure in Alexandria, relaxed with GGA+U, the powder XRD pattern of LiVF5 was simulated for Cu Kα X-rays.
Peak positions follow from Bragg's law for the DFT cell and can differ from measured ones.

Atomic structure:
```
data_LiVF5
_chemical_formula_sum 'Li4 V4 F20'
_cell_length_a 5.8087
_cell_length_b 8.6442
_cell_length_c 9.3490
_cell_angle_alpha 90.00
_cell_angle_beta 128.03
_cell_angle_gamma 90.00
_space_group_name_H-M_alt 'P 1 21/c 1'
_space_group_IT_number 14
loop_
_space_group_symop_operation_xyz
'x,y,z'
'-x,-y,-z'
'-x,y+1/2,-z+1/2'
'x,-y+1/2,z+1/2'
loop_
_atom_site_label
_atom_site_type_symbol
_atom_site_fract_x
_atom_site_fract_y
_atom_site_fract_z
_atom_site_occupancy
Li1 Li 0.1890 0.0232 0.3280 1
V1 V 0.4364 0.1378 0.0765 1
F1 F 0.0818 0.1343 0.8527 1
F2 F 0.1976 0.6046 0.2160 1
F3 F 0.2764 0.1494 0.1959 1
F4 F 0.3963 0.5922 0.5531 1
F5 F 0.4699 0.1452 0.5612 1
```

Principal peaks in the range 2θ from 10° to 80°, sorted by position:
15.8 deg, rel. 100.0, (0 1 1)
19.4 deg, rel. 69.4, (1 0 0)
22.1 deg, rel. 76.0, (1 1 -2)
25.7 deg, rel. 27.7, (1 2 -1)
39.8 deg, rel. 24.6, (1 0 2)
41.8 deg, rel. 37.3, (0 4 0)

=====

Record 7
Starting from a crystal structure in Alexandria, relaxed with GGA+U, the powder XRD pattern of Li4VF6 was simulated for Cu Kα X-rays.
Peak positions follow from Bragg's law for the DFT cell and can differ from measured ones.

Atomic structure:
```
data_Li4VF6
_chemical_formula_sum 'Li8 V2 F12'
_cell_length_a 5.3580
_cell_length_b 8.8010
_cell_length_c 5.1182
_cell_angle_alpha 90.00
_cell_angle_beta 109.80
_cell_angle_gamma 90.00
_space_group_name_H-M_alt 'P 1 21/c 1'
_space_group_IT_number 14
loop_
_space_group_symop_operation_xyz
'x,y,z'
'-x,-y,-z'
'-x,y+1/2,-z+1/2'
'x,-y+1/2,z+1/2'
loop_
_atom_site_label
_atom_site_type_symbol
_atom_site_fract_x
_atom_site_fract_y
_atom_site_fract_z
_atom_site_occupancy
Li1 Li 0.0378 0.1638 0.3398 1
Li2 Li 0.4510 0.6641 0.9652 1
V1 V 0.5000 0.0000 0.0000 1
F1 F 0.2386 0.6733 0.5430 1
F2 F 0.2722 0.0055 0.5756 1
F3 F 0.3004 0.1819 0.1193 1
```

Principal peaks in the range 2θ from 10° to 80°, sorted by position:
17.6 deg, rel. 100.0, (1 0 0)
21.0 deg, rel. 39.8, (0 1 1)
23.1 deg, rel. 51.6, (1 1 -1)
37.2 deg, rel. 65.2, (1 3 -1)
37.3 deg, rel. 41.7, (0 0 2)
46.4 deg, rel. 91.9, (2 3 -1)

=====

Record 8
Starting from a crystal structure in Alexandria, relaxed with GGA+U, the powder XRD pattern of LiVF5 was simulated for Cu Kα X-rays.
Peak positions follow from Bragg's law for the DFT cell and can differ from measured ones.

Atomic structure:
```
data_LiVF5
_chemical_formula_sum 'Li4 V4 F20'
_cell_length_a 5.3010
_cell_length_b 10.2670
_cell_length_c 6.4053
_cell_angle_alpha 90.00
_cell_angle_beta 105.36
_cell_angle_gamma 90.00
_space_group_name_H-M_alt 'P 1 21/c 1'
_space_group_IT_number 14
loop_
_space_group_symop_operation_xyz
'x,y,z'
'-x,-y,-z'
'-x,y+1/2,-z+1/2'
'x,-y+1/2,z+1/2'
loop_
_atom_site_label
_atom_site_type_symbol
_atom_site_fract_x
_atom_site_fract_y
_atom_site_fract_z
_atom_site_occupancy
Li1 Li 0.0303 0.2352 0.3829 1
V1 V 0.4422 0.0388 0.7391 1
F1 F 0.1705 0.5805 0.1860 1
F2 F 0.2105 0.1803 0.6851 1
F3 F 0.2663 0.6476 0.6935 1
F4 F 0.3634 0.0794 0.0312 1
F5 F 0.3729 0.0819 0.4112 1
```

Principal peaks in the range 2θ from 10° to 80°, sorted by position:
17.3 deg, rel. 100.0, (1 0 0)
24.6 deg, rel. 47.9, (1 2 0)
28.9 deg, rel. 19.2, (0 0 2)
44.2 deg, rel. 16.4, (2 3 0)
46.5 deg, rel. 13.5, (1 2 -3)
49.7 deg, rel. 16.2, (2 4 -1)